Entry 1:
Diffraction record for CoP2O7. The XRD peak list is calculated, not measured: it uses a DFT-relaxed cell (GGA+U, the Materials Project) and copper Kα.
No peak broadening, texture or thermal motion is included.

Main lines, sorted by position (2θ from 10° to 80°):
2θ/deg	I (rel.)
13.37	35
14.23	32
17.31	26
19.94	41
20.40	26
21.61	84
22.74	44
27.38	49
28.92	100
30.02	56

```
40
Lattice="6.963 0.000 0.000 0.000 8.705 0.000 -2.897 0.000 8.905" Properties=species:S:1:pos:R:3 pbc="T T T"
Co 0.379 0.642 2.627
Co -1.070 3.710 7.080
Co 5.136 4.994 1.825
Co 3.687 8.063 6.278
P -2.650 6.192 8.627
P -1.202 6.866 4.175
P 2.147 6.531 2.174
P 0.698 6.526 6.627
P 3.368 2.179 2.278
P 1.919 2.174 6.731
P 5.268 1.839 4.731
P 6.716 2.513 0.278
O -1.091 5.483 3.438
O -2.540 7.575 7.890
O -2.384 5.056 7.657
O -0.936 8.002 3.205
O -0.348 1.792 4.006
O -1.797 2.560 8.459
O 1.443 6.179 0.772
O -0.005 6.879 5.225
O 0.290 5.117 7.039
O 1.739 7.941 2.587
O 1.867 2.001 2.527
O 0.419 2.352 6.979
O 1.764 5.458 3.202
O 0.315 7.599 7.655
O 3.751 1.106 1.251
O 2.302 3.247 5.703
O 3.648 6.353 1.926
O 2.199 6.704 6.379
O 2.327 0.764 6.319
O 3.776 3.588 1.866
O 4.071 1.826 3.680
O 2.623 2.526 8.133
O 5.863 6.145 0.446
O 4.414 6.913 4.899
O 5.002 0.703 5.701
O 6.450 3.649 1.248
O 6.606 1.130 1.015
O 5.157 3.222 5.468
```

=====

Entry 2:
Diffraction record for MgMn2Si4O12. The XRD peak list is calculated, not measured: it uses a DFT-relaxed cell (GGA+U, the Materials Project) and copper Kα.
No peak broadening, texture or thermal motion is included.

Main lines, sorted by position (2θ from 10° to 80°):
2θ/deg	I (rel.)
13.43	61
19.78	68
20.23	38
25.00	34
28.68	43
28.80	100
36.20	18
36.49	35
40.80	31
53.06	18

```
19
Lattice="5.349 -4.391 0.000 5.349 4.391 0.000 -1.891 0.000 4.924" Properties=species:S:1:pos:R:3 pbc="T T T"
Mg 0.000 0.000 0.000
Mn 4.404 0.324 2.462
Mn 5.349 -1.496 0.000
Si 2.496 0.118 0.024
Si 1.457 -1.595 2.523
Si 6.312 0.118 4.900
Si 7.350 -1.595 2.401
O 2.695 1.366 2.605
O 0.508 -0.674 3.513
O 1.481 -0.858 1.005
O 4.027 0.110 0.574
O 6.113 1.366 2.319
O 3.020 -1.459 3.053
O 4.781 0.110 4.350
O 3.878 -3.024 0.193
O 5.787 -1.459 1.871
O 8.299 -0.674 1.412
O 7.326 -0.858 3.920
O 4.930 -3.024 4.732
```

=====

Entry 3:
Diffraction record for Li9Mn14O32. The XRD peak list is calculated, not measured: it uses a DFT-relaxed cell (GGA+U, the Materials Project) and copper Kα.
No peak broadening, texture or thermal motion is included.

Main lines, sorted by position (2θ from 10° to 80°):
2θ/deg	I (rel.)
18.53	100
35.89	33
35.97	10
37.60	5
43.65	56
47.75	5
57.72	14
63.38	21
63.57	11
66.71	5

```
55
Lattice="5.087 -2.933 0.000 5.087 2.933 0.000 -3.463 0.000 19.125" Properties=species:S:1:pos:R:3 pbc="T T T"
Li 0.000 0.000 0.000
Li -0.046 0.000 3.561
Li -0.057 0.000 14.282
Li 1.673 0.000 6.484
Li -0.064 0.000 17.773
Li 3.379 0.000 9.405
Li 3.320 0.000 18.452
Li 6.837 0.000 4.744
Li 6.684 0.000 8.256
Mn 2.527 1.484 1.701
Mn 0.804 1.467 11.273
Mn -1.732 0.000 11.281
Mn -0.019 0.000 8.817
Mn 4.214 1.466 6.484
Mn 2.499 1.441 16.067
Mn 3.365 0.000 4.147
Mn 0.804 -1.467 11.273
Mn 5.097 0.000 1.696
Mn 2.527 -1.484 1.701
Mn 2.499 -1.441 16.067
Mn 4.998 0.000 16.065
Mn 4.214 -1.466 6.484
Mn 6.729 0.000 13.651
O -1.951 0.000 14.911
O 0.893 1.639 14.909
O -0.124 0.000 5.498
O 2.723 1.341 5.263
O 2.385 1.646 12.402
O -0.033 0.000 12.317
O 1.883 0.000 2.855
O 4.137 1.294 2.823
O 1.472 0.000 10.122
O 4.290 1.624 10.173
O 3.380 0.000 0.700
O 6.002 1.351 0.711
O 5.706 1.595 7.717
O 3.470 0.000 7.475
O 1.765 0.000 17.051
O 4.112 1.352 17.052
O 4.910 0.000 5.355
O 2.723 -1.341 5.263
O 3.331 0.000 15.060
O 0.893 -1.639 14.909
O 4.137 -1.294 2.823
O 6.771 0.000 2.720
O 2.385 -1.646 12.402
O 5.249 0.000 12.414
O 8.333 0.000 0.712
O 6.002 -1.351 0.711
O 6.746 0.000 10.243
O 4.290 -1.624 10.173
O 4.112 -1.352 17.052
O 6.722 0.000 17.060
O 5.706 -1.595 7.717
O 8.611 0.000 7.622
```

=====

Entry 4:
Diffraction record for Li4Mn5VP6O24. The XRD peak list is calculated, not measured: it uses a DFT-relaxed cell (GGA+U, the Materials Project) and copper Kα.
No peak broadening, texture or thermal motion is included.

Main lines, sorted by position (2θ from 10° to 80°):
2θ/deg	I (rel.)
19.75	100
23.34	30
23.51	53
23.77	81
32.31	24
32.52	43
32.87	43
34.52	52
34.65	26
48.60	20

```
40
Lattice="8.571 0.000 0.000 3.933 7.701 0.000 3.982 2.533 7.330" Properties=species:S:1:pos:R:3 pbc="T T T"
Li 0.000 0.000 0.000
Li 6.343 8.079 3.693
Li 4.943 3.987 3.017
Li 10.805 6.522 5.802
Mn 4.801 4.993 5.875
Mn 6.636 6.023 1.003
Mn 8.955 7.548 2.137
Mn 8.376 1.945 3.646
Mn 10.761 3.467 4.724
V 8.061 7.021 7.312
P 2.423 1.880 1.456
P 9.169 9.313 5.095
P 7.794 5.248 4.336
P 6.667 2.418 0.712
P 13.529 8.310 6.553
P 12.083 6.292 2.877
O 1.355 1.650 0.382
O 4.410 5.662 1.715
O 4.310 2.868 5.316
O 3.425 2.990 1.096
O 6.324 4.805 4.464
O 7.026 8.152 1.626
O 9.180 8.592 6.526
O 8.490 8.482 4.003
O 8.259 6.123 5.532
O 7.765 6.093 2.989
O 5.996 3.858 0.530
O 6.675 1.928 4.802
O 5.652 1.306 1.008
O 8.783 4.081 4.221
O 8.610 6.336 0.326
O 7.686 2.573 1.804
O 10.640 6.560 2.454
O 11.239 4.640 6.617
O 13.701 9.311 5.369
O 12.872 6.993 6.078
O 12.818 7.560 3.298
O 12.046 5.166 3.976
O 14.968 8.095 7.079
O 10.462 2.227 2.872
```

=====

Entry 5:
Diffraction record for SrTiFe3Bi3O12. The XRD peak list is calculated, not measured: it uses a DFT-relaxed cell (GGA+U, the Materials Project) and copper Kα.
No peak broadening, texture or thermal motion is included.

Main lines, sorted by position (2θ from 10° to 80°):
2θ/deg	I (rel.)
22.22	66
31.49	99
31.77	100
39.11	30
45.34	49
50.86	27
51.24	16
56.42	41
56.59	24
66.37	17

```
20
Lattice="2.817 1.626 9.320 -2.817 1.626 9.320 0.000 -3.253 9.320" Properties=species:S:1:pos:R:3 pbc="T T T"
Sr 0.000 0.000 0.000
Ti 0.000 0.000 10.519
Fe 0.000 0.000 3.358
Fe 0.000 0.000 17.450
Fe 0.000 0.000 24.378
Bi 0.000 0.000 7.335
Bi 0.000 0.000 14.313
Bi 0.000 0.000 21.302
O -1.171 -1.024 9.043
O -1.269 -2.029 13.660
O -1.595 0.480 11.402
O -1.548 -0.447 16.040
O 0.382 -1.621 11.402
O -0.301 1.526 9.043
O -1.122 2.113 13.660
O 1.472 -0.503 9.043
O 1.162 -1.117 16.040
O 1.213 1.141 11.402
O 0.387 1.565 16.040
O 2.391 -0.085 13.660
```